# Na2Al2Si3O14
Calculated powder X-ray diffraction pattern, Cu Kα X-rays. Input: a DFT-relaxed cell (PBE, the Materials Project).
Lines closer than 0.1° are merged.

Largest 10 diffraction maxima, in order of rising 2θ, 2θ = 15–90°:
| 2θ (°) | I_rel |
| --- | --- |
| 20.04 | 35 |
| 20.27 | 37 |
| 27.76 | 33 |
| 28.25 | 59 |
| 29.88 | 92 |
| 31.11 | 100 |
| 31.42 | 93 |
| 36.58 | 35 |
| 37.38 | 27 |
| 63.44 | 21 |

```
data_Na2Al2Si3O14
_chemical_formula_sum 'Na4 Al4 Si6 O28'
_symmetry_space_group_name_H-M 'P 1'
_symmetry_Int_Tables_number 1
_symmetry_space_group_name_Hall 'P 1'
_cell_length_a 9.921
_cell_length_b 9.705
_cell_length_c 13.037
_cell_angle_alpha 49.09
_cell_angle_beta 47.67
_cell_angle_gamma 83.24
loop_
_atom_site_label
_atom_site_fract_x
_atom_site_fract_y
_atom_site_fract_z
_atom_site_occupancy
Na1 0.253 0.747 0.306 1
Na2 0.556 0.944 0.503 1
Na3 0.747 0.253 0.694 1
Na4 0.944 0.556 0.997 1
Al1 0.137 0.875 0.552 1
Al2 0.698 0.815 0.113 1
Al3 0.815 0.698 0.375 1
Al4 0.875 0.137 0.435 1
Si1 0.146 0.146 0.854 1
Si2 0.378 0.649 0.546 1
Si3 0.396 0.396 0.104 1
Si4 0.649 0.378 0.427 1
Si5 0.704 0.823 0.872 1
Si6 0.823 0.704 0.601 1
O1 0.032 0.766 0.537 1
O2 0.052 0.958 0.085 1
O3 0.129 0.332 0.530 1
O4 0.165 0.345 0.198 1
O5 0.193 0.376 0.765 1
O6 0.206 0.297 0.006 1
O7 0.241 0.720 0.918 1
O8 0.244 0.758 0.044 1
O9 0.252 0.749 0.617 1
O10 0.297 0.206 0.492 1
O11 0.332 0.129 0.009 1
O12 0.345 0.165 0.292 1
O13 0.376 0.193 0.666 1
O14 0.466 0.751 0.336 1
O15 0.485 0.584 0.057 1
O16 0.584 0.485 0.874 1
O17 0.585 0.713 0.484 1
O18 0.633 0.867 0.998 1
O19 0.713 0.585 0.218 1
O20 0.720 0.241 0.121 1
O21 0.749 0.252 0.383 1
O22 0.751 0.466 0.447 1
O23 0.758 0.244 0.953 1
O24 0.766 0.032 0.665 1
O25 0.803 0.914 0.499 1
O26 0.867 0.633 0.501 1
O27 0.914 0.803 0.784 1
O28 0.958 0.052 0.905 1
```

# LuCo3B2
Calculated powder X-ray diffraction pattern, Cu Kα X-rays. Input: a DFT-relaxed cell (PBE, the Materials Project).
Lines closer than 0.1° are merged.

Largest 10 diffraction maxima, in order of rising 2θ, 2θ = 15–90°:
| 2θ (°) | I_rel |
| --- | --- |
| 20.77 | 34 |
| 36.39 | 100 |
| 42.26 | 68 |
| 47.54 | 49 |
| 56.96 | 5 |
| 61.33 | 8 |
| 65.47 | 37 |
| 73.43 | 17 |
| 77.29 | 34 |
| 88.55 | 17 |

```
data_LuCo3B2
_chemical_formula_sum 'Lu1 Co3 B2'
_symmetry_space_group_name_H-M 'P 1'
_symmetry_Int_Tables_number 1
_symmetry_space_group_name_Hall 'P 1'
_cell_length_a 4.939
_cell_length_b 4.939
_cell_length_c 3.023
_cell_angle_alpha 90.00
_cell_angle_beta 90.00
_cell_angle_gamma 120.00
loop_
_atom_site_label
_atom_site_fract_x
_atom_site_fract_y
_atom_site_fract_z
_atom_site_occupancy
Lu1 0.000 0.000 0.000 1
Co1 0.000 0.500 0.500 1
Co2 0.500 0.000 0.500 1
Co3 0.500 0.500 0.500 1
B1 0.333 0.667 0.000 1
B2 0.667 0.333 0.000 1
```

# Pr3Si
Calculated powder X-ray diffraction pattern, Cu Kα X-rays. Input: a DFT-relaxed cell (PBE, the Materials Project).
Lines closer than 0.1° are merged.

Largest 10 diffraction maxima, in order of rising 2θ, 2θ = 15–90°:
| 2θ (°) | I_rel |
| --- | --- |
| 22.50 | 31 |
| 28.83 | 26 |
| 33.81 | 100 |
| 34.98 | 22 |
| 38.45 | 11 |
| 45.94 | 14 |
| 51.08 | 18 |
| 61.99 | 17 |
| 62.67 | 14 |
| 63.41 | 18 |

```
data_Pr3Si
_chemical_formula_sum 'Pr6 Si2'
_symmetry_space_group_name_H-M 'P 1'
_symmetry_Int_Tables_number 1
_symmetry_space_group_name_Hall 'P 1'
_cell_length_a 7.152
_cell_length_b 7.152
_cell_length_c 5.130
_cell_angle_alpha 90.00
_cell_angle_beta 90.00
_cell_angle_gamma 120.00
loop_
_atom_site_label
_atom_site_fract_x
_atom_site_fract_y
_atom_site_fract_z
_atom_site_occupancy
Pr1 0.183 0.365 0.250 1
Pr2 0.183 0.817 0.250 1
Pr3 0.365 0.183 0.750 1
Pr4 0.635 0.817 0.250 1
Pr5 0.817 0.183 0.750 1
Pr6 0.817 0.635 0.750 1
Si1 0.333 0.667 0.750 1
Si2 0.667 0.333 0.250 1
```

# HfP2O7
Calculated powder X-ray diffraction pattern, Cu Kα X-rays. Input: a DFT-relaxed cell (PBE, the Materials Project).
Lines closer than 0.1° are merged.

Largest 10 diffraction maxima, in order of rising 2θ, 2θ = 15–90°:
| 2θ (°) | I_rel |
| --- | --- |
| 18.14 | 75 |
| 20.98 | 100 |
| 29.84 | 48 |
| 35.14 | 60 |
| 36.76 | 16 |
| 46.75 | 21 |
| 48.04 | 35 |
| 52.97 | 29 |
| 56.46 | 30 |
| 65.16 | 18 |

```
data_HfP2O7
_chemical_formula_sum 'Hf4 P8 O28'
_symmetry_space_group_name_H-M 'P 1'
_symmetry_Int_Tables_number 1
_symmetry_space_group_name_Hall 'P 1'
_cell_length_a 8.469
_cell_length_b 8.469
_cell_length_c 8.469
_cell_angle_alpha 90.00
_cell_angle_beta 90.00
_cell_angle_gamma 90.00
loop_
_atom_site_label
_atom_site_fract_x
_atom_site_fract_y
_atom_site_fract_z
_atom_site_occupancy
Hf1 0.000 0.000 0.000 1
Hf2 0.000 0.500 0.500 1
Hf3 0.500 0.000 0.500 1
Hf4 0.500 0.500 0.000 1
P1 0.108 0.608 0.892 1
P2 0.108 0.892 0.392 1
P3 0.392 0.108 0.892 1
P4 0.392 0.392 0.392 1
P5 0.608 0.608 0.608 1
P6 0.608 0.892 0.108 1
P7 0.892 0.108 0.608 1
P8 0.892 0.392 0.108 1
O1 0.000 0.000 0.500 1
O2 0.000 0.500 0.000 1
O3 0.056 0.722 0.420 1
O4 0.056 0.778 0.920 1
O5 0.080 0.556 0.722 1
O6 0.080 0.944 0.222 1
O7 0.222 0.080 0.944 1
O8 0.222 0.420 0.444 1
O9 0.278 0.580 0.944 1
O10 0.278 0.920 0.444 1
O11 0.420 0.056 0.722 1
O12 0.420 0.444 0.222 1
O13 0.444 0.222 0.420 1
O14 0.444 0.278 0.920 1
O15 0.500 0.000 0.000 1
O16 0.500 0.500 0.500 1
O17 0.556 0.722 0.080 1
O18 0.556 0.778 0.580 1
O19 0.580 0.556 0.778 1
O20 0.580 0.944 0.278 1
O21 0.722 0.080 0.556 1
O22 0.722 0.420 0.056 1
O23 0.778 0.580 0.556 1
O24 0.778 0.920 0.056 1
O25 0.920 0.056 0.778 1
O26 0.920 0.444 0.278 1
O27 0.944 0.222 0.080 1
O28 0.944 0.278 0.580 1
```

# UFe10Re2
Calculated powder X-ray diffraction pattern, Cu Kα X-rays. Input: a DFT-relaxed cell (PBE, the Materials Project).
Lines closer than 0.1° are merged.

Largest 10 diffraction maxima, in order of rising 2θ, 2θ = 15–90°:
| 2θ (°) | I_rel |
| --- | --- |
| 21.13 | 24 |
| 22.01 | 55 |
| 33.08 | 31 |
| 37.00 | 42 |
| 37.56 | 46 |
| 39.14 | 24 |
| 43.00 | 100 |
| 43.27 | 26 |
| 44.90 | 42 |
| 77.83 | 24 |

```
data_UFe10Re2
_chemical_formula_sum 'U1 Fe10 Re2'
_symmetry_space_group_name_H-M 'P 1'
_symmetry_Int_Tables_number 1
_symmetry_space_group_name_Hall 'P 1'
_cell_length_a 6.433
_cell_length_b 6.433
_cell_length_c 6.433
_cell_angle_alpha 138.08
_cell_angle_beta 98.36
_cell_angle_gamma 96.35
loop_
_atom_site_label
_atom_site_fract_x
_atom_site_fract_y
_atom_site_fract_z
_atom_site_occupancy
U1 0.000 0.000 0.000 1
Fe1 0.000 0.000 0.500 1
Fe2 0.000 0.500 0.000 1
Fe3 0.214 0.500 0.714 1
Fe4 0.222 0.722 0.500 1
Fe5 0.355 0.000 0.355 1
Fe6 0.500 0.000 0.000 1
Fe7 0.500 0.500 0.500 1
Fe8 0.645 0.000 0.645 1
Fe9 0.778 0.278 0.500 1
Fe10 0.786 0.500 0.286 1
Re1 0.356 0.356 0.000 1
Re2 0.644 0.644 0.000 1
```

# Ba5Ga2S8
Calculated powder X-ray diffraction pattern, Cu Kα X-rays. Input: a DFT-relaxed cell (PBE, the Materials Project).
Lines closer than 0.1° are merged.

Largest 10 diffraction maxima, in order of rising 2θ, 2θ = 15–90°:
| 2θ (°) | I_rel |
| --- | --- |
| 23.28 | 34 |
| 23.45 | 33 |
| 23.67 | 36 |
| 25.98 | 68 |
| 30.28 | 100 |
| 30.59 | 90 |
| 32.75 | 33 |
| 33.17 | 41 |
| 47.76 | 26 |
| 48.18 | 26 |

```
data_Ba5Ga2S8
_chemical_formula_sum 'Ba20 Ga8 S32'
_symmetry_space_group_name_H-M 'P 1'
_symmetry_Int_Tables_number 1
_symmetry_space_group_name_Hall 'P 1'
_cell_length_a 12.934
_cell_length_b 12.934
_cell_length_c 12.030
_cell_angle_alpha 90.00
_cell_angle_beta 90.00
_cell_angle_gamma 56.69
loop_
_atom_site_label
_atom_site_fract_x
_atom_site_fract_y
_atom_site_fract_z
_atom_site_occupancy
Ba1 0.007 0.493 0.750 1
Ba2 0.064 0.740 0.995 1
Ba3 0.097 0.106 0.340 1
Ba4 0.106 0.097 0.660 1
Ba5 0.240 0.564 0.495 1
Ba6 0.260 0.936 0.995 1
Ba7 0.394 0.403 0.160 1
Ba8 0.403 0.394 0.840 1
Ba9 0.436 0.760 0.495 1
Ba10 0.493 0.007 0.250 1
Ba11 0.507 0.993 0.750 1
Ba12 0.564 0.240 0.505 1
Ba13 0.597 0.606 0.160 1
Ba14 0.606 0.597 0.840 1
Ba15 0.740 0.064 0.005 1
Ba16 0.760 0.436 0.505 1
Ba17 0.894 0.903 0.340 1
Ba18 0.903 0.894 0.660 1
Ba19 0.936 0.260 0.005 1
Ba20 0.993 0.507 0.250 1
Ga1 0.187 0.813 0.267 1
Ga2 0.250 0.250 0.000 1
Ga3 0.250 0.250 0.500 1
Ga4 0.313 0.687 0.767 1
Ga5 0.687 0.313 0.233 1
Ga6 0.750 0.750 0.000 1
Ga7 0.750 0.750 0.500 1
Ga8 0.813 0.187 0.733 1
S1 0.031 0.969 0.152 1
S2 0.041 0.335 0.503 1
S3 0.145 0.855 0.459 1
S4 0.152 0.664 0.742 1
S5 0.164 0.652 0.242 1
S6 0.165 0.459 0.997 1
S7 0.186 0.187 0.148 1
S8 0.187 0.186 0.852 1
S9 0.313 0.314 0.352 1
S10 0.314 0.313 0.648 1
S11 0.335 0.041 0.497 1
S12 0.336 0.848 0.742 1
S13 0.348 0.836 0.242 1
S14 0.355 0.645 0.959 1
S15 0.459 0.165 0.003 1
S16 0.469 0.531 0.652 1
S17 0.531 0.469 0.348 1
S18 0.541 0.835 0.997 1
S19 0.645 0.355 0.041 1
S20 0.652 0.164 0.758 1
S21 0.664 0.152 0.258 1
S22 0.665 0.959 0.503 1
S23 0.686 0.687 0.352 1
S24 0.687 0.686 0.648 1
S25 0.813 0.814 0.148 1
S26 0.814 0.813 0.852 1
S27 0.835 0.541 0.003 1
S28 0.836 0.348 0.758 1
S29 0.848 0.336 0.258 1
S30 0.855 0.145 0.541 1
S31 0.959 0.665 0.497 1
S32 0.969 0.031 0.848 1
```